For Er5ThSb4, a PBE-relaxed structure gives the computed powder X-ray diffraction pattern in this record (CuKα).
Kinematic intensities with the Lorentz-polarization factor, no thermal factor.

Structural model:
```
Er5ThSb4
1.0
9.3141 -2.1634 0.0000
9.3141 2.1634 0.0000
-2.3765 0.0000 8.0803
Er Th Sb
5 1 4
Direct
0.0000 0.0000 0.0000
0.3161 0.3161 0.1525
0.3413 0.3413 0.6839
0.6587 0.6587 0.3161
0.6839 0.6839 0.8475
0.0000 0.0000 0.5000
0.1739 0.1739 0.5849
0.4857 0.4857 0.2285
0.5143 0.5143 0.7715
0.8261 0.8261 0.4151
```

Largest 10 diffraction maxima, in order of falling intensity, 15 to 90 degrees two-theta:
two_theta  I_rel
29.6  100.0
41.7  56.0
30.0  41.3
43.6  27.5
25.4  19.2
43.0  17.8
52.3  17.6
36.7  14.0
61.5  12.3
51.7  10.0